Diffraction record for Eu3Al2O7. The PXRD pattern is calculated, not measured: it uses a structure optimized by DFT (GGA-PBE) and λ = 1.5418 Å (Cu Kα).
Kinematic intensities with the Lorentz-polarization factor, no thermal factor.

Peak list (6 most intense, 2θ from 10° to 90°, by angle)
2θ (°), intensity
24.12, 52
32.86, 100
33.76, 66
43.75, 51
48.49, 37
59.82, 37

Cell and atoms:
Lattice parameters (Å, degrees): 10.2558 10.2558 10.2558 158.90 158.90 30.01
Atoms (fractional coordinates):
Eu 0.0000 0.0000 0.0000
Eu 0.1824 0.1824 0.0000
Eu 0.8176 0.8176 0.0000
Al 0.4044 0.4044 0.0000
Al 0.5956 0.5956 0.0000
O 0.0972 0.5972 0.5000
O 0.3019 0.3019 0.0000
O 0.4028 0.9028 0.5000
O 0.5000 0.5000 0.0000
O 0.5972 0.0972 0.5000
O 0.6981 0.6981 0.0000
O 0.9028 0.4028 0.5000